(1)
Calculated PXRD pattern
Compound: GaPbF5
Radiation: copper Kα
Structure: a DFT-relaxed cell (PBE, the Materials Project)
No peak broadening, texture or thermal motion is included.

Largest 10 diffraction maxima, by intensity, 2θ = 10–80°:
d [Å], 2θ/deg, I (rel.)
3.230, 27.6, 100
3.755, 23.7, 52
3.593, 24.8, 43
3.688, 24.1, 34
3.299, 27.0, 34
2.051, 44.2, 34
3.048, 29.3, 33
2.111, 42.8, 31
5.216, 17.0, 31
2.203, 41.0, 21

Crystal structure
a = 11.088 Å, b = 11.088 Å, c = 11.088 Å
α = 96.59°, β = 96.59°, γ = 140.41°
Atoms (fractional coordinates):
1 Ga 0.000 0.000 0.000
2 Ga 0.071 0.921 0.517
3 Ga 0.244 0.744 0.500
4 Ga 0.404 0.553 0.483
5 Ga 0.498 0.498 0.000
6 Ga 0.553 0.071 0.150
7 Ga 0.744 0.244 0.500
8 Ga 0.921 0.404 0.850
9 Pb 0.163 0.473 0.174
10 Pb 0.299 0.988 0.826
11 Pb 0.473 0.299 0.310
12 Pb 0.501 0.776 0.822
13 Pb 0.679 0.501 0.725
14 Pb 0.776 0.954 0.275
15 Pb 0.954 0.679 0.178
16 Pb 0.988 0.163 0.690
17 F 0.015 0.625 0.811
18 F 0.039 0.874 0.923
19 F 0.117 0.039 0.166
20 F 0.125 0.674 0.322
21 F 0.164 0.306 0.351
22 F 0.168 0.515 0.863
23 F 0.199 0.866 0.571
24 F 0.204 0.015 0.391
25 F 0.248 0.248 0.000
26 F 0.278 0.477 0.614
27 F 0.295 0.627 0.429
28 F 0.306 0.168 0.654
29 F 0.306 0.955 0.142
30 F 0.353 0.803 0.678
31 F 0.384 0.457 0.832
32 F 0.457 0.625 0.073
33 F 0.470 0.960 0.969
34 F 0.477 0.863 0.199
35 F 0.492 0.992 0.500
36 F 0.501 0.470 0.510
37 F 0.515 0.652 0.346
38 F 0.552 0.384 0.927
39 F 0.625 0.552 0.168
40 F 0.625 0.813 0.609
41 F 0.627 0.199 0.333
42 F 0.652 0.306 0.137
43 F 0.664 0.278 0.801
44 F 0.674 0.353 0.549
45 F 0.750 0.750 0.000
46 F 0.803 0.125 0.451
47 F 0.813 0.164 0.858
48 F 0.813 0.204 0.189
49 F 0.863 0.664 0.386
50 F 0.866 0.295 0.667
51 F 0.874 0.951 0.834
52 F 0.951 0.117 0.077
53 F 0.955 0.813 0.649
54 F 0.960 0.991 0.490
55 F 0.991 0.501 0.031
56 F 0.992 0.492 0.500

=====

(2)
Calculated PXRD pattern
Compound: Ca3Mg
Radiation: copper Kα
Structure: a DFT-relaxed cell (PBE, the Materials Project)
No peak broadening, texture or thermal motion is included.

Largest 10 diffraction maxima, by intensity, 2θ = 10–80°:
d [Å], 2θ/deg, I (rel.)
2.893, 30.9, 100
3.305, 27.0, 26
2.995, 29.8, 22
1.908, 47.7, 19
1.609, 57.3, 18
1.709, 53.6, 15
1.593, 57.9, 14
2.219, 40.7, 13
1.223, 78.2, 11
1.273, 74.5, 7

Crystal structure
a = 3.816 Å, b = 3.816 Å, c = 11.980 Å
α = 90.00°, β = 90.00°, γ = 120.00°
Atoms (fractional coordinates):
1 Ca 0.000 0.000 0.000
2 Ca 0.333 0.667 0.270
3 Ca 0.333 0.667 0.730
4 Mg 0.000 0.000 0.500

=====

(3)
Calculated PXRD pattern
Compound: NaMg6W
Radiation: copper Kα
Structure: a DFT-relaxed cell (PBE, the Materials Project)
No peak broadening, texture or thermal motion is included.

Largest 10 diffraction maxima, by intensity, 2θ = 10–80°:
d [Å], 2θ/deg, I (rel.)
6.220, 14.2, 100
2.538, 35.4, 98
4.396, 20.2, 55
2.198, 41.1, 48
3.109, 28.7, 47
3.588, 24.8, 38
2.350, 38.3, 36
1.325, 71.1, 35
1.554, 59.5, 31
1.966, 46.2, 27

Crystal structure
a = 6.220 Å, b = 6.220 Å, c = 4.392 Å
α = 90.00°, β = 90.00°, γ = 90.00°
Atoms (fractional coordinates):
1 Na 0.000 0.000 0.000
2 Mg 0.000 0.500 0.000
3 Mg 0.272 0.272 0.500
4 Mg 0.272 0.728 0.500
5 Mg 0.500 0.000 0.000
6 Mg 0.728 0.272 0.500
7 Mg 0.728 0.728 0.500
8 W 0.500 0.500 0.000

=====

(4)
Calculated PXRD pattern
Compound: Na3MgC2ClO6
Radiation: copper Kα
Structure: a DFT-relaxed cell (PBE, the Materials Project)
No peak broadening, texture or thermal motion is included.

Largest 10 diffraction maxima, by intensity, 2θ = 10–80°:
d [Å], 2θ/deg, I (rel.)
2.507, 35.8, 100
2.730, 32.8, 74
8.189, 10.8, 64
2.138, 42.3, 42
1.773, 51.5, 37
1.627, 56.6, 28
5.014, 17.7, 25
1.448, 64.4, 22
2.895, 30.9, 19
3.546, 25.1, 19

Crystal structure
a = 10.029 Å, b = 10.029 Å, c = 10.029 Å
α = 60.00°, β = 60.00°, γ = 60.00°
Atoms (fractional coordinates):
1 Na 0.100 0.100 0.650
2 Na 0.100 0.650 0.100
3 Na 0.100 0.650 0.650
4 Na 0.350 0.350 0.900
5 Na 0.350 0.900 0.350
6 Na 0.350 0.900 0.900
7 Na 0.650 0.100 0.100
8 Na 0.650 0.100 0.650
9 Na 0.650 0.650 0.100
10 Na 0.900 0.350 0.350
11 Na 0.900 0.350 0.900
12 Na 0.900 0.900 0.350
13 Mg 0.000 0.500 0.500
14 Mg 0.500 0.000 0.500
15 Mg 0.500 0.500 0.000
16 Mg 0.500 0.500 0.500
17 C 0.283 0.283 0.283
18 C 0.283 0.283 0.650
19 C 0.283 0.650 0.283
20 C 0.350 0.717 0.717
21 C 0.650 0.283 0.283
22 C 0.717 0.350 0.717
23 C 0.717 0.717 0.350
24 C 0.717 0.717 0.717
25 Cl 0.000 0.000 0.000
26 Cl 0.000 0.000 0.500
27 Cl 0.000 0.500 0.000
28 Cl 0.500 0.000 0.000
29 O 0.139 0.318 0.391
30 O 0.139 0.391 0.652
31 O 0.139 0.652 0.318
32 O 0.318 0.139 0.652
33 O 0.318 0.391 0.139
34 O 0.318 0.652 0.391
35 O 0.348 0.609 0.682
36 O 0.348 0.682 0.861
37 O 0.348 0.861 0.609
38 O 0.391 0.139 0.318
39 O 0.391 0.318 0.652
40 O 0.391 0.652 0.139
41 O 0.609 0.348 0.861
42 O 0.609 0.682 0.348
43 O 0.609 0.861 0.682
44 O 0.652 0.139 0.391
45 O 0.652 0.318 0.139
46 O 0.652 0.391 0.318
47 O 0.682 0.348 0.609
48 O 0.682 0.609 0.861
49 O 0.682 0.861 0.348
50 O 0.861 0.348 0.682
51 O 0.861 0.609 0.348
52 O 0.861 0.682 0.609

=====

(5)
Calculated PXRD pattern
Compound: BaTaCuO5
Radiation: copper Kα
Structure: a DFT-relaxed cell (PBE, the Materials Project)
No peak broadening, texture or thermal motion is included.

Largest 10 diffraction maxima, by intensity, 2θ = 10–80°:
d [Å], 2θ/deg, I (rel.)
2.929, 30.5, 100
3.515, 25.3, 68
2.691, 33.3, 38
1.596, 57.8, 33
4.586, 19.4, 27
1.903, 47.8, 26
2.020, 44.9, 26
3.058, 29.2, 23
1.653, 55.6, 18
1.673, 54.9, 17

Crystal structure
a = 3.805 Å, b = 3.805 Å, c = 9.173 Å
α = 90.00°, β = 90.00°, γ = 90.00°
Atoms (fractional coordinates):
1 Ba 0.000 0.000 0.000
2 Ta 0.500 0.500 0.679
3 Cu 0.500 0.500 0.246
4 O 0.000 0.500 0.206
5 O 0.000 0.500 0.634
6 O 0.500 0.000 0.206
7 O 0.500 0.000 0.634
8 O 0.500 0.500 0.883

=====

(6)
Calculated PXRD pattern
Compound: NdMgS3
Radiation: copper Kα
Structure: a DFT-relaxed cell (PBE, the Materials Project)
No peak broadening, texture or thermal motion is included.

Largest 10 diffraction maxima, by intensity, 2θ = 10–80°:
d [Å], 2θ/deg, I (rel.)
5.484, 16.2, 100
5.806, 15.3, 85
2.708, 33.1, 71
3.287, 27.1, 42
2.530, 35.5, 35
2.976, 30.0, 28
2.216, 40.7, 24
2.082, 43.5, 23
3.612, 24.7, 23
3.058, 29.2, 21

Crystal structure
a = 6.997 Å, b = 6.997 Å, c = 6.889 Å
α = 104.88°, β = 104.88°, γ = 112.17°
Atoms (fractional coordinates):
1 Nd 0.214 0.214 0.260
2 Nd 0.786 0.786 0.740
3 Mg 0.340 0.660 0.000
4 Mg 0.660 0.340 0.000
5 S 0.059 0.756 0.134
6 S 0.244 0.941 0.866
7 S 0.416 0.416 0.717
8 S 0.584 0.584 0.283
9 S 0.756 0.059 0.134
10 S 0.941 0.244 0.866

=====

(7)
Calculated PXRD pattern
Compound: Ba2AgTe2F
Radiation: copper Kα
Structure: a DFT-relaxed cell (PBE, the Materials Project)
No peak broadening, texture or thermal motion is included.

Largest 10 diffraction maxima, by intensity, 2θ = 10–80°:
d [Å], 2θ/deg, I (rel.)
3.880, 22.9, 100
2.744, 32.6, 40
2.262, 39.8, 35
1.954, 46.5, 22
1.735, 52.8, 20
1.473, 63.1, 17
2.784, 32.1, 16
2.843, 31.5, 15
1.940, 46.8, 14
1.592, 57.9, 11

Crystal structure
a = 3.880 Å, b = 3.880 Å, c = 16.707 Å
α = 90.00°, β = 90.00°, γ = 90.00°
Atoms (fractional coordinates):
1 Ba 0.000 0.000 0.147
2 Ba 0.000 0.000 0.853
3 Ag 0.000 0.000 0.500
4 Te 0.000 0.000 0.342
5 Te 0.000 0.000 0.658
6 F 0.000 0.000 0.000

=====

(8)
Calculated PXRD pattern
Compound: InHSeO4
Radiation: copper Kα
Structure: a DFT-relaxed cell (PBE, the Materials Project)
No peak broadening, texture or thermal motion is included.

Largest 10 diffraction maxima, by intensity, 2θ = 10–80°:
d [Å], 2θ/deg, I (rel.)
3.072, 29.1, 100
2.625, 34.2, 59
3.715, 24.0, 58
4.553, 19.5, 52
2.821, 31.7, 46
1.857, 49.0, 44
1.773, 51.6, 38
5.888, 15.0, 22
4.341, 20.5, 21
1.424, 65.6, 17

Crystal structure
a = 11.775 Å, b = 4.937 Å, c = 6.427 Å
α = 90.00°, β = 90.00°, γ = 90.00°
Atoms (fractional coordinates):
1 In 0.010 0.013 0.000
2 In 0.490 0.513 0.500
3 In 0.510 0.487 0.000
4 In 0.990 0.987 0.500
5 H 0.132 0.480 0.597
6 H 0.368 0.980 0.097
7 H 0.632 0.020 0.597
8 H 0.868 0.520 0.097
9 Se 0.195 0.518 0.251
10 Se 0.305 0.018 0.751
11 Se 0.695 0.982 0.251
12 Se 0.805 0.482 0.751
13 O 0.074 0.728 0.246
14 O 0.084 0.833 0.744
15 O 0.150 0.336 0.494
16 O 0.165 0.278 0.072
17 O 0.335 0.778 0.572
18 O 0.350 0.836 0.994
19 O 0.416 0.333 0.244
20 O 0.426 0.228 0.746
21 O 0.574 0.772 0.246
22 O 0.584 0.667 0.744
23 O 0.650 0.164 0.494
24 O 0.665 0.222 0.072
25 O 0.835 0.722 0.572
26 O 0.850 0.664 0.994
27 O 0.916 0.167 0.244
28 O 0.926 0.272 0.746